1.
For MnTeMoO6, a crystal structure in the Materials Project, relaxed with GGA+U gives the computed powder diffraction line list in this record (Cu Kα (weighted mean of Kα1 and Kα2)).

Peak list (12 most intense, 2θ = 5–70°, low angle first)
2θ (°)	d (Å)	I_rel
19.1	4.644	26.0
23.7	3.750	47.8
25.5	3.494	23.5
25.6	3.477	20.0
30.6	2.918	100.0
33.8	2.652	24.2
39.1	2.302	18.9
45.0	2.014	14.1
48.6	1.875	24.0
52.4	1.747	14.1
55.4	1.659	9.7
58.5	1.577	31.8

abc: 5.3036 5.3036 9.2871
angles: 90.00 90.00 90.00
Fractional positions:
Mn (0.0000, 0.0000, 0.0000)
Mn (0.5000, 0.5000, 0.0000)
Te (0.0000, 0.5000, 0.2442)
Te (0.5000, 0.0000, 0.7558)
Mo (0.0000, 0.5000, 0.6914)
Mo (0.5000, 0.0000, 0.3086)
O (0.1858, 0.6858, 0.5791)
O (0.1919, 0.3081, 0.1070)
O (0.2185, 0.2815, 0.7938)
O (0.2815, 0.7815, 0.2062)
O (0.3081, 0.8081, 0.8930)
O (0.3142, 0.1858, 0.4209)
O (0.6858, 0.8142, 0.4209)
O (0.6919, 0.1919, 0.8930)
O (0.7185, 0.2185, 0.2062)
O (0.7815, 0.7185, 0.7938)
O (0.8081, 0.6919, 0.1070)
O (0.8142, 0.3142, 0.5791)



2.
For BaW4O7, a crystal structure in the Materials Project, relaxed with GGA+U gives the computed powder diffraction line list in this record (Cu Kα (weighted mean of Kα1 and Kα2)).

Peak list (12 most intense, 2θ = 5–70°, low angle first)
2θ (°)	d (Å)	I_rel
16.0	5.538	44.1
17.0	5.221	47.9
22.0	4.044	35.3
28.5	3.133	46.6
30.7	2.909	48.4
31.3	2.859	100.0
32.3	2.769	20.9
34.4	2.610	39.0
40.3	2.237	25.7
49.0	1.859	20.2
52.6	1.740	52.8
53.6	1.709	24.3

abc: 6.8354 6.8354 11.0769
angles: 90.00 90.00 120.00
Fractional positions:
Ba (0.3333, 0.6667, 0.0000)
Ba (0.6667, 0.3333, 0.5000)
W (0.0000, 0.0000, 0.3776)
W (0.0000, 0.0000, 0.8776)
W (0.1928, 0.3856, 0.6536)
W (0.1928, 0.8072, 0.6536)
W (0.3856, 0.1928, 0.1536)
W (0.6144, 0.8072, 0.6536)
W (0.8072, 0.1928, 0.1536)
W (0.8072, 0.6144, 0.1536)
O (0.0000, 0.0000, 0.2005)
O (0.0000, 0.0000, 0.7005)
O (0.0403, 0.5202, 0.1810)
O (0.1371, 0.2741, 0.4907)
O (0.1371, 0.8629, 0.4907)
O (0.2741, 0.1371, 0.9907)
O (0.4798, 0.5202, 0.1810)
O (0.4798, 0.9597, 0.1810)
O (0.5202, 0.0403, 0.6810)
O (0.5202, 0.4798, 0.6810)
O (0.7259, 0.8629, 0.4907)
O (0.8629, 0.1371, 0.9907)
O (0.8629, 0.7259, 0.9907)
O (0.9597, 0.4798, 0.6810)



3.
For Li9Mn2Co5O16, a crystal structure in the Materials Project, relaxed with GGA+U gives the computed powder diffraction line list in this record (Cu Kα (weighted mean of Kα1 and Kα2)).

Peak list (12 most intense, 2θ = 5–70°, low angle first)
2θ (°)	d (Å)	I_rel
7.6	11.672	10.2
18.3	4.837	100.0
35.8	2.505	14.7
36.1	2.491	25.5
37.6	2.392	11.3
43.3	2.089	28.3
43.7	2.071	54.1
47.6	1.911	9.3
57.6	1.600	9.7
62.9	1.477	15.1
63.2	1.470	7.3
63.5	1.465	14.8

abc: 5.0799 11.6718 5.1381
angles: 90.00 109.71 90.00
Fractional positions:
Li (0.0000, 0.0000, 0.0000)
Li (0.0000, 0.1152, 0.5000)
Li (0.0000, 0.2340, 0.0000)
Li (0.0000, 0.4878, 0.0000)
Li (0.0000, 0.7407, 0.0000)
Li (0.5000, 0.1161, 0.0000)
Li (0.5000, 0.3594, 0.0000)
Li (0.5000, 0.6168, 0.0000)
Li (0.5000, 0.8699, 0.0000)
Mn (0.0000, 0.8677, 0.5000)
Mn (0.5000, 0.4921, 0.5000)
Co (0.0000, 0.3560, 0.5000)
Co (0.0000, 0.6170, 0.5000)
Co (0.5000, 0.2367, 0.5000)
Co (0.5000, 0.7402, 0.5000)
Co (0.5000, 0.9993, 0.5000)
O (0.2296, 0.7387, 0.7211)
O (0.2409, 0.9774, 0.7297)
O (0.2430, 0.4967, 0.7096)
O (0.2490, 0.8618, 0.2809)
O (0.2539, 0.2497, 0.7306)
O (0.2642, 0.3743, 0.2693)
O (0.2733, 0.1147, 0.2586)
O (0.2758, 0.6126, 0.2669)
O (0.7242, 0.6126, 0.7331)
O (0.7267, 0.1147, 0.7414)
O (0.7358, 0.3743, 0.7307)
O (0.7461, 0.2497, 0.2694)
O (0.7510, 0.8618, 0.7191)
O (0.7570, 0.4967, 0.2904)
O (0.7591, 0.9774, 0.2703)
O (0.7704, 0.7387, 0.2789)



4.
For MgMnNi6O8, a crystal structure in the Materials Project, relaxed with GGA+U gives the computed powder diffraction line list in this record (Cu Kα (weighted mean of Kα1 and Kα2)).

Peak list (12 most intense, 2θ = 5–70°, low angle first)
2θ (°)	d (Å)	I_rel
18.0	4.925	2.4
20.8	4.265	4.1
29.6	3.016	3.5
34.9	2.572	2.0
36.5	2.463	67.2
42.4	2.133	100.0
46.4	1.957	1.1
47.7	1.908	1.9
52.6	1.741	1.4
61.5	1.508	57.7
65.7	1.422	0.9
69.7	1.349	0.5

abc: 6.0322 6.0322 6.0322
angles: 60.00 60.00 60.00
Fractional positions:
Mg (0.0000, 0.0000, 0.0000)
Mn (0.5000, 0.5000, 0.5000)
Ni (0.0000, 0.0000, 0.5000)
Ni (0.0000, 0.5000, 0.0000)
Ni (0.0000, 0.5000, 0.5000)
Ni (0.5000, 0.0000, 0.0000)
Ni (0.5000, 0.0000, 0.5000)
Ni (0.5000, 0.5000, 0.0000)
O (0.2438, 0.2438, 0.7562)
O (0.2438, 0.7562, 0.2438)
O (0.2438, 0.7562, 0.7562)
O (0.2500, 0.2500, 0.2500)
O (0.7500, 0.7500, 0.7500)
O (0.7562, 0.2438, 0.2438)
O (0.7562, 0.2438, 0.7562)
O (0.7562, 0.7562, 0.2438)